Li2V3O6: calculated powder XRD pattern (Cu Kα (weighted mean of Kα1 and Kα2)), based on a GGA+U-relaxed structure.
Lines closer than 0.1° are merged.

Main lines, sorted by position (2θ from 10° to 80°):
2θ/deg	I (rel.)
17.93	100
34.58	11
34.88	12
41.70	24
42.28	23
43.62	21

Crystal structure
Unit cell a=5.093 b=5.224 c=5.249 alpha=70.53 beta=79.42 gamma=61.17
Space group P1 (No. 1)
Unique sites:
1 Li 0.000 0.000 0.000
2 Li 0.300 0.358 0.998
3 V 0.303 0.845 0.497
4 V 0.640 0.183 0.497
5 V 0.970 0.512 0.501
6 O 0.288 0.121 0.711
7 O 0.295 0.598 0.280
8 O 0.627 0.437 0.712
9 O 0.631 0.920 0.295
10 O 0.995 0.229 0.277
11 O 0.998 0.776 0.721